Diffraction record for Ta3PbCN. The PXRD pattern is theoretical, not measured: it uses a DFT-relaxed cell (GGA-PBE, OQMD) and λ = 1.5418 Å (Cu Kα).

Cell: 3.1897 3.1897 19.7001 Å, 90.00 90.00 120.00°
Space group P-3m1 (No. 164)
Inequivalent atoms, fractional coordinates:
Ta1 0.0000 0.0000 0.0000 (multiplicity 1)
Ta2 0.0000 0.0000 0.5000 (multiplicity 1)
Ta3 0.3333 0.6667 0.1234 (multiplicity 2)
Ta4 0.3333 0.6667 0.3743 (multiplicity 2)
Pb1 0.0000 0.0000 0.2482 (multiplicity 2)
C1 0.3333 0.6667 0.5666 (multiplicity 2)
N1 0.3333 0.6667 0.9381 (multiplicity 2)

Principal peaks in the range 2θ = 10–80°, low angle first:
- 2θ 32.74, I = 19.7
- 2θ 35.25, I = 14.9
- 2θ 36.49, I = 28.7
- 2θ 37.32, I = 100.0
- 2θ 39.86, I = 14.4
- 2θ 46.04, I = 9.2
- 2θ 57.81, I = 26.1
- 2θ 66.22, I = 18.9
- 2θ 70.33, I = 26.5
- 2θ 70.87, I = 17.7